# Li4Cr3NiO8
Computed X-ray diffraction stick pattern, Cu Kα. Input: a cell relaxed with PBE+U.
Lines closer than 0.1° are merged.

The 10 most intense peaks (2θ = 10–80°), in order of falling intensity:
2θ = 18.3°, I = 100; 2θ = 43.2°, I = 53; 2θ = 35.7°, I = 28; 2θ = 43.5°, I = 26; 2θ = 62.8°, I = 21; 2θ = 63.2°, I = 14; 2θ = 47.4°, I = 14; 2θ = 35.9°, I = 14; 2θ = 37.3°, I = 8; 2θ = 62.9°, I = 7

Structural model:
```
data_Li4Cr3NiO8
_cell_length_a 5.9109
_cell_length_b 5.9263
_cell_length_c 8.3214
_cell_angle_alpha 89.45
_cell_angle_beta 89.99
_cell_angle_gamma 89.92
_symmetry_space_group_name_H-M 'P -1'
_symmetry_Int_Tables_number 2
_symmetry_space_group_name_Hall '-P 1'
loop_
_atom_site_label
_atom_site_type_symbol
_atom_site_fract_x
_atom_site_fract_y
_atom_site_fract_z
_atom_site_occupancy
Li1 Li 0.0000 0.0000 0.0000 1
Li2 Li 0.0000 0.5000 0.5000 1
Li3 Li 0.2479 0.2481 0.7485 1
Li4 Li 0.2479 0.7522 0.2511 1
Li5 Li 0.5000 0.0000 0.0000 1
Li6 Li 0.5000 0.5000 0.5000 1
Cr1 Cr 0.0000 0.0000 0.5000 1
Cr2 Cr 0.0000 0.5000 0.0000 1
Cr3 Cr 0.2473 0.7521 0.7494 1
Cr4 Cr 0.5000 0.0000 0.5000 1
Cr5 Cr 0.5000 0.5000 0.0000 1
Ni1 Ni 0.2496 0.2488 0.2508 1
O1 O 0.0048 0.5155 0.7581 1
O2 O 0.0087 0.9890 0.7438 1
O3 O 0.2508 0.2339 0.4934 1
O4 O 0.2508 0.7635 0.5062 1
O5 O 0.2520 0.7340 0.9941 1
O6 O 0.2582 0.2732 0.0055 1
O7 O 0.4897 0.5110 0.7683 1
O8 O 0.4937 0.9844 0.7431 1
```